Record 1
This entry pairs a crystal structure of CrO with its computed X-ray diffraction stick pattern. Radiation: λ = 1.5418 Å (Cu Kα). Structure: DFT lattice parameters and positions (GGA+U).
No peak broadening, texture or thermal motion is included.

Main lines, in order of falling intensity (2θ from 10° to 90°):
| two_theta | I (rel.) |
| --- | --- |
| 33.2 | 100 |
| 35.0 | 68 |
| 33.6 | 66 |
| 32.9 | 64 |
| 54.1 | 48 |
| 51.9 | 28 |
| 59.9 | 28 |
| 40.1 | 20 |

Structural model:
a b c (Å): 3.044 3.099 5.401
angles (deg): 90.55 93.87 94.30
Fractional coordinates of all 4 atoms:
Cr: 0.000 0.000 0.000
Cr: 0.500 0.500 0.500
O: 0.031 0.498 0.754
O: 0.969 0.502 0.246

Record 2
This entry pairs a crystal structure of Rb3FeF6 with its computed X-ray diffraction stick pattern. Radiation: λ = 1.5418 Å (Cu Kα). Structure: DFT lattice parameters and positions (GGA+U).
No peak broadening, texture or thermal motion is included.

Main lines, in order of falling intensity (2θ from 10° to 90°):
| two_theta | I (rel.) |
| --- | --- |
| 26.8 | 100 |
| 27.2 | 97 |
| 47.8 | 54 |
| 47.2 | 37 |
| 37.8 | 26 |
| 38.8 | 23 |
| 75.4 | 16 |
| 76.2 | 15 |

Structural model:
a b c (Å): 6.647 6.647 6.647
angles (deg): 120.85 120.85 88.53
Fractional coordinates of all 10 atoms:
Rb: 0.000 0.000 0.000
Rb: 0.250 0.750 0.500
Rb: 0.750 0.250 0.500
Fe: 0.500 0.500 0.000
F: 0.204 0.500 0.704
F: 0.286 0.286 0.000
F: 0.500 0.204 0.704
F: 0.500 0.796 0.296
F: 0.714 0.714 0.000
F: 0.796 0.500 0.296

Record 3
This entry pairs a crystal structure of BaFeCuF7 with its computed X-ray diffraction stick pattern. Radiation: λ = 1.5418 Å (Cu Kα). Structure: DFT lattice parameters and positions (GGA+U).
No peak broadening, texture or thermal motion is included.

Main lines, in order of falling intensity (2θ from 10° to 90°):
| two_theta | I (rel.) |
| --- | --- |
| 24.9 | 100 |
| 40.0 | 83 |
| 26.5 | 81 |
| 25.3 | 55 |
| 29.5 | 39 |
| 51.6 | 35 |
| 31.2 | 35 |
| 41.9 | 32 |

Structural model:
a b c (Å): 7.446 7.446 5.734
angles (deg): 110.57 110.57 86.39
Fractional coordinates of all 20 atoms:
Ba: 0.181 0.819 0.500
Ba: 0.819 0.181 0.000
Fe: 0.206 0.426 0.861
Fe: 0.426 0.206 0.361
Cu: 0.593 0.789 0.128
Cu: 0.789 0.593 0.628
F: 0.070 0.464 0.529
F: 0.092 0.177 0.763
F: 0.177 0.092 0.263
F: 0.325 0.693 0.019
F: 0.329 0.422 0.236
F: 0.422 0.329 0.736
F: 0.464 0.070 0.029
F: 0.537 0.990 0.479
F: 0.564 0.705 0.752
F: 0.693 0.325 0.519
F: 0.705 0.564 0.252
F: 0.833 0.921 0.233
F: 0.921 0.833 0.733
F: 0.990 0.537 0.979

Record 4
This entry pairs a crystal structure of Ta2Mo2O5 with its computed X-ray diffraction stick pattern. Radiation: λ = 1.5418 Å (Cu Kα). Structure: DFT lattice parameters and positions (GGA+U).
No peak broadening, texture or thermal motion is included.

Main lines, in order of falling intensity (2θ from 10° to 90°):
| two_theta | I (rel.) |
| --- | --- |
| 33.4 | 100 |
| 36.9 | 42 |
| 64.2 | 31 |
| 53.1 | 23 |
| 42.7 | 17 |
| 50.2 | 16 |
| 57.3 | 14 |
| 20.8 | 12 |

Structural model:
a b c (Å): 3.447 3.447 8.557
angles (deg): 90.00 90.00 90.00
Fractional coordinates of all 9 atoms:
Ta: 0.000 0.000 0.000
Ta: 0.000 0.000 0.500
Mo: 0.500 0.500 0.188
Mo: 0.500 0.500 0.812
O: 0.000 0.500 0.321
O: 0.000 0.500 0.679
O: 0.500 0.000 0.321
O: 0.500 0.000 0.679
O: 0.500 0.500 0.500